Computed X-ray diffraction stick pattern
Compound: ZnNi6Rh2
Radiation: a wavelength of 1.5418 Å
Structure: a structure optimized by DFT (GGA-PBE)
Intensities are scaled so that the largest is 100.

The 8 most intense peaks (2θ from 5° to 70°), in order of falling intensity:
2θ (°)  I_rel
43.06  100.0
49.94  16.0
50.34  15.6
50.16  15.5
28.24  1.8
31.34  1.5
24.27  1.2
27.66  1.1

Structure:
```
data_ZnNi6Rh2
_chemical_formula_sum 'Zn2 Ni12 Rh4'
_space_group_name_H-M_alt 'C 1 2/m 1'
_space_group_IT_number 12
_cell_length_a 8.150
_cell_length_b 3.626
_cell_length_c 7.744
_cell_angle_alpha 90.00
_cell_angle_beta 108.70
_cell_angle_gamma 90.00
loop_
_space_group_symop_operation_xyz
'x,y,z'
'-x,-y,-z'
'-x,y,-z'
'x,-y,z'
'x+1/2,y+1/2,z'
'-x+1/2,-y+1/2,-z'
'-x+1/2,y+1/2,-z'
'x+1/2,-y+1/2,z'
loop_
_atom_site_label
_atom_site_fract_x
_atom_site_fract_y
_atom_site_fract_z
_atom_site_occupancy
Zn1 0.000 0.000 0.000 1
Ni1 0.003 0.000 0.340 1
Ni2 0.162 0.500 0.554 1
Ni3 0.164 0.500 0.887 1
Rh1 0.173 0.500 0.229 1
```